No. 1
Starting from DFT lattice parameters and positions (GGA-PBE), the PXRD pattern of CuSClO was calculated for Cu Kα (weighted mean of Kα1 and Kα2).
No peak broadening, texture or thermal motion is included.

```
8
Lattice="4.7491 0.0000 0.0000 1.1104 5.3706 0.0000 2.2359 2.1920 6.0576" Properties=species:S:1:pos:R:3 pbc="T T T"
Cu 0.0000 0.0000 0.0000
Cu 3.5713 2.3900 2.6795
S 2.7937 4.1987 1.0627
S 4.3642 5.7143 5.1568
Cl 2.0229 3.2121 4.0251
Cl 5.1544 1.9298 1.2391
O 4.0136 5.0753 0.8927
O 5.2837 6.2540 4.0798
```

Principal peaks in the range 15° ≤ 2θ ≤ 90°, most intense first:
2theta	intensity
22.8	100
18.7	70
26.5	53
21.2	53
28.9	46
41.3	43
40.4	31
27.9	31
17.6	29
37.1	28

=====

No. 2
Starting from DFT lattice parameters and positions (GGA-PBE), the PXRD pattern of Cu3Se2Cl2O6 was calculated for Cu Kα (weighted mean of Kα1 and Kα2).
No peak broadening, texture or thermal motion is included.

```
26
Lattice="6.1687 0.0000 0.0000 -0.2241 8.0924 0.0000 -0.6822 -0.1496 8.6922" Properties=species:S:1:pos:R:3 pbc="T T T"
Cu 0.2420 3.2076 3.2226
Cu 1.7022 4.8124 0.5884
Cu 1.9963 1.3941 4.9987
Cu 3.2659 6.5488 3.6936
Cu 3.5601 3.1304 8.1038
Cu 5.0203 4.7353 5.4696
Se 0.2332 6.5483 2.7923
Se 1.7047 5.5365 6.3014
Se 3.5575 2.4063 2.3908
Se 5.0291 1.3945 5.8999
Cl -0.5665 5.7722 8.1405
Cl 1.9314 0.8759 7.1412
Cl 3.3309 7.0670 1.5510
Cl 5.8288 2.1706 0.5518
O 0.1074 1.7458 4.7030
O 0.7832 4.9239 2.3290
O 0.7578 4.3947 5.4224
O 1.4256 7.0263 3.9616
O 2.0287 2.4453 3.3055
O 2.1931 4.5131 7.6853
O 3.0691 3.4298 1.0070
O 3.2335 5.4975 5.3868
O 3.8366 0.9166 4.7306
O 4.5045 3.5481 3.2698
O 4.4791 3.0190 6.3632
O 5.1549 6.1970 3.9892
```

Principal peaks in the range 15° ≤ 2θ ≤ 90°, most intense first:
2theta	intensity
24.4	100
35.0	73
21.7	67
36.2	53
29.9	47
31.6	45
22.0	43
29.2	38
30.1	31
17.9	29

=====

No. 3
Starting from DFT lattice parameters and positions (GGA-PBE), the PXRD pattern of SrCu2Se2Cl2O6 was calculated for Cu Kα (weighted mean of Kα1 and Kα2).
No peak broadening, texture or thermal motion is included.

```
26
Lattice="7.2629 0.0000 0.0000 0.0000 7.3551 0.0000 -0.8537 0.0000 8.1442" Properties=species:S:1:pos:R:3 pbc="T T T"
Sr 0.8603 0.0000 0.5308
Sr 5.5489 3.6776 7.6134
Cu 1.6821 7.2952 4.7997
Cu 2.5615 3.7537 0.7906
Cu 3.8477 0.0761 7.3536
Cu 4.7271 3.6177 3.3445
Se 0.6089 4.8497 3.1205
Se 1.8755 2.6511 6.4120
Se 4.5336 6.3286 1.7321
Se 5.8003 1.1722 5.0237
Cl 0.1906 5.5099 6.3871
Cl 2.9370 2.2098 3.1149
Cl 3.4721 5.8874 5.0293
Cl 6.2186 1.8324 1.7571
O 0.2560 1.3230 5.0109
O 0.8976 4.6173 1.3929
O 1.0283 6.5453 3.1134
O 0.6981 2.4910 7.7350
O 2.5130 1.0117 6.2642
O 3.3575 6.9620 0.6073
O 3.0517 3.2844 7.5369
O 3.8961 4.6892 1.8799
O 5.7111 6.1685 0.4092
O 5.3809 2.8677 5.0308
O 5.5115 0.9397 6.7513
O 6.1532 5.0006 3.1333
```

Principal peaks in the range 15° ≤ 2θ ≤ 90°, most intense first:
2theta	intensity
27.5	100
16.2	80
28.9	75
30.6	69
28.7	60
34.3	59
25.0	54
26.9	48
38.6	46
26.6	44

=====

No. 4
Starting from DFT lattice parameters and positions (GGA-PBE), the PXRD pattern of YCu3Se2ClO8 was calculated for Cu Kα (weighted mean of Kα1 and Kα2).
No peak broadening, texture or thermal motion is included.

```
30
Lattice="6.3770 0.0000 0.0000 0.0000 9.5786 0.0000 0.0000 0.0000 7.0599" Properties=species:S:1:pos:R:3 pbc="T T T"
Y 1.5943 2.3946 1.6463
Y 4.7828 7.1839 5.4136
Cu 0.0000 0.0000 3.5300
Cu 0.0000 4.7893 3.5300
Cu 1.5943 2.3946 4.9689
Cu 3.1885 0.0000 3.5300
Cu 3.1885 4.7893 3.5300
Cu 4.7828 7.1839 2.0911
Se 1.5943 5.3666 6.4202
Se 1.5943 9.0012 6.4202
Se 4.7828 0.5773 0.6397
Se 4.7828 4.2119 0.6397
Cl 1.5943 7.1839 2.4347
Cl 4.7828 2.3946 4.6253
O 0.2402 5.6386 5.3653
O 0.2402 8.7292 5.3653
O 1.5943 1.0689 3.5444
O 1.5943 1.1535 6.5281
O 1.5943 3.6358 6.5281
O 1.5943 3.7204 3.5444
O 2.9483 5.6386 5.3653
O 2.9483 8.7292 5.3653
O 3.4288 0.8494 1.6946
O 3.4288 3.9399 1.6946
O 4.7828 5.8582 3.5155
O 4.7828 5.9427 0.5319
O 4.7828 8.4251 0.5319
O 4.7828 8.5096 3.5155
O 6.1368 0.8494 1.6946
O 6.1368 3.9399 1.6946
```

Principal peaks in the range 15° ≤ 2θ ≤ 90°, most intense first:
2theta	intensity
31.5	100
36.2	89
30.8	76
33.8	74
54.5	62
31.3	50
16.7	48
26.5	47
28.0	33
67.4	32